Entry 1:
Calculated powder diffraction line list of MgGa2 for λ = 1.5418 Å (Cu Kα), from a crystal structure in the Materials Project, relaxed with GGA-PBE.
Neutral-atom scattering factors, no anomalous dispersion.

Main lines, sorted by position (15 to 90 degrees two-theta):
2theta, I (rel.)
21.88, 21.4
33.33, 21.9
36.73, 36.3
38.20, 100.0
41.50, 36.4
64.36, 14.1
67.12, 18.0
76.46, 15.7

Unit cell a=7.4643 b=7.4643 c=4.8932 alpha=90.00 beta=90.00 gamma=155.03
Fractional coordinates of all 6 atoms:
Mg  0.1093  0.8907  0.7500
Mg  0.8907  0.1093  0.2500
Ga  0.2221  0.7779  0.2500
Ga  0.4423  0.5577  0.7500
Ga  0.5577  0.4423  0.2500
Ga  0.7779  0.2221  0.7500



Entry 2:
Calculated powder diffraction line list of MgGa for λ = 1.5418 Å (Cu Kα), from a crystal structure in the Materials Project, relaxed with GGA-PBE.
Neutral-atom scattering factors, no anomalous dispersion.

Main lines, sorted by position (15 to 90 degrees two-theta):
2theta, I (rel.)
24.52, 100.0
28.39, 19.2
40.58, 63.5
47.98, 47.7
58.73, 10.3
64.61, 18.9
73.83, 20.2
79.14, 13.7

Unit cell a=4.4464 b=4.4464 c=4.4464 alpha=60.00 beta=60.00 gamma=60.00
Fractional coordinates of all 2 atoms:
Mg  0.0000  0.0000  0.0000
Ga  0.7500  0.7500  0.7500



Entry 3:
Calculated powder diffraction line list of MgGa5 for λ = 1.5418 Å (Cu Kα), from a crystal structure in the Materials Project, relaxed with GGA-PBE.
Neutral-atom scattering factors, no anomalous dispersion.

Main lines, sorted by position (15 to 90 degrees two-theta):
2theta, I (rel.)
33.79, 25.7
38.20, 23.4
38.96, 100.0
51.91, 14.8
60.45, 17.6
69.56, 17.1
73.79, 19.0
74.29, 14.0

Unit cell a=3.0630 b=3.0630 c=14.1362 alpha=90.00 beta=90.00 gamma=120.00
Fractional coordinates of all 6 atoms:
Mg  0.0000  0.0000  0.0000
Ga  0.0000  0.0000  0.3330
Ga  0.0000  0.0000  0.6670
Ga  0.6667  0.3333  0.1671
Ga  0.6667  0.3333  0.5000
Ga  0.6667  0.3333  0.8329